KVSbF6: theoretical PXRD pattern (Cu Kα X-rays), based on the PBE+U geometry in Alexandria.

Top 8 peaks for 2θ = 10–90°, in order of rising 2θ:
index	d_spacing	Rel. int.
0 0 1	5.234	82
1 0 -1	3.826	100
1 -1 1	3.585	75
1 1 0	3.225	40
0 1 1	3.089	32
1 -2 0	2.488	73
2 1 -1	2.112	39
-2 2 1	1.747	30

Structure:
Unit cell a=5.090 b=5.628 c=5.698 alpha=112.40 beta=91.83 gamma=100.70
Space group P1 (No. 1)
Inequivalent atoms, fractional coordinates:
K 0.000 0.000 0.000 x1
V 0.702 0.327 0.625 x1
Sb 0.379 0.687 0.391 x1
F 0.043 0.551 0.535 x1
F 0.356 0.062 0.664 x1
F 0.463 0.296 0.291 x1
F 0.552 0.685 0.721 x1
F 0.781 0.946 0.432 x1
F 0.922 0.439 0.971 x1